Calculated powder X-ray diffraction pattern of Ba6Nd2YMo3O18 for Cu Kα (λ = 1.5418 Å), from a structure optimized by DFT (PBE+U).
Intensities are scaled so that the largest is 100.

```
data_Ba6Nd2YMo3O18
_chemical_formula_sum 'Ba12 Nd4 Y2 Mo6 O36'
_symmetry_space_group_name_H-M 'C 1 2/m 1'
_symmetry_Int_Tables_number 12
_cell_length_a 19.1093
_cell_length_b 8.6763
_cell_length_c 6.0662
_cell_angle_alpha 90.00
_cell_angle_beta 107.90
_cell_angle_gamma 90.00
loop_
_symmetry_equiv_pos_as_xyz
'x,y,z'
'-x,-y,-z'
'-x,y,-z'
'x,-y,z'
'x+1/2,y+1/2,z'
'-x+1/2,-y+1/2,-z'
'-x+1/2,y+1/2,-z'
'x+1/2,-y+1/2,z'
loop_
_atom_site_label
_atom_site_type_symbol
_atom_site_fract_x
_atom_site_fract_y
_atom_site_fract_z
Ba1 Ba 0.0000 0.2469 0.0000
Ba2 Ba 0.1666 0.2495 0.6600
Nd1 Nd 0.1655 0.5000 0.1630
Y1 Y 0.0000 0.0000 0.5000
Mo1 Mo 0.0000 0.5000 0.5000
Mo2 Mo 0.1648 0.0000 0.1620
O1 O 0.0000 0.2701 0.5000
O2 O 0.0629 0.5000 0.2862
O3 O 0.0754 0.0000 0.8637
O4 O 0.0935 0.5000 0.7746
O5 O 0.0973 0.0000 0.3559
O6 O 0.1650 0.2339 0.1649
O7 O 0.2276 0.0000 0.9644
O8 O 0.2478 0.5000 0.5449
```

Main lines, low angle first (10° ≤ 2θ ≤ 80°):
29.21 deg, d = 3.058 Å, I 67; 29.40 deg, d = 3.038 Å, I 100; 29.47 deg, d = 3.031 Å, I 34; 41.64 deg, d = 2.169 Å, I 21; 41.92 deg, d = 2.155 Å, I 19; 42.39 deg, d = 2.133 Å, I 19; 51.83 deg, d = 1.764 Å, I 28; 52.00 deg, d = 1.759 Å, I 28; 52.30 deg, d = 1.749 Å, I 27; 60.56 deg, d = 1.529 Å, I 12; 60.92 deg, d = 1.521 Å, I 12; 68.48 deg, d = 1.370 Å, I 12